Simulated powder diffractogram of BaLiZrO3 for copper Kα, from a structure optimized by DFT (GGA-PBE).
Kinematic intensities with the Lorentz-polarization factor, no thermal factor.

Crystal structure
```
data_BaLiZrO3
_chemical_formula_sum 'Ba3 Li3 Zr3 O9'
_cell_length_a 5.8671
_cell_length_b 5.8671
_cell_length_c 8.6994
_cell_angle_alpha 90.00
_cell_angle_beta 90.00
_cell_angle_gamma 120.00
_space_group_name_H-M_alt 'R 3 m'
_space_group_IT_number 160
_space_group_name_Hall 'R 3 -2"'
loop_
_atom_site_label
_atom_site_type_symbol
_atom_site_fract_x
_atom_site_fract_y
_atom_site_fract_z
Ba1 Ba 0.0000 0.0000 0.0000
Li1 Li 0.0000 0.0000 0.3259
Zr1 Zr 0.0000 0.0000 0.6078
O1 O 0.0058 0.5029 0.0983
```

The 10 most intense peaks (2θ from 10° to 90°), in order of rising 2θ:
d_spacing	intensity	hkl
4.387	34	1 0 1
3.304	77	0 1 2
2.934	100	1 1 0
2.900	20	0 0 3
2.194	43	2 0 2
2.062	69	1 1 3
1.757	25	1 2 2
1.694	20	3 0 0
1.646	21	0 1 5
1.462	22	0 3 3

Simulated powder diffractogram of BaLi2Os for copper Kα, from a structure optimized by DFT (GGA-PBE).
Kinematic intensities with the Lorentz-polarization factor, no thermal factor.

Crystal structure
```
data_BaLi2Os
_chemical_formula_sum 'Ba4 Li8 Os4'
_cell_length_a 6.9367
_cell_length_b 6.9367
_cell_length_c 6.9367
_cell_angle_alpha 90.00
_cell_angle_beta 90.00
_cell_angle_gamma 90.00
_space_group_name_H-M_alt 'F -4 3 m'
_space_group_IT_number 216
_space_group_name_Hall 'F -4 2 3'
loop_
_atom_site_label
_atom_site_type_symbol
_atom_site_fract_x
_atom_site_fract_y
_atom_site_fract_z
Ba1 Ba 0.0000 0.0000 0.0000
Li1 Li 0.0000 0.0000 0.5000
Li2 Li 0.2500 0.2500 0.7500
Os1 Os 0.2500 0.2500 0.2500
```

The 10 most intense peaks (2θ from 10° to 90°), in order of rising 2θ:
d_spacing	intensity	hkl
4.005	100	1 1 1
2.452	92	2 2 0
2.091	53	3 1 1
1.734	16	4 0 0
1.591	22	3 3 1
1.416	34	4 2 2
1.335	17	5 1 1
1.226	11	4 4 0
1.173	17	5 3 1
1.097	16	6 2 0

Simulated powder diffractogram of BaLiOs4 for copper Kα, from a structure optimized by DFT (GGA-PBE).
Kinematic intensities with the Lorentz-polarization factor, no thermal factor.

Crystal structure
```
data_BaLiOs4
_chemical_formula_sum 'Ba4 Li4 Os16'
_cell_length_a 7.6642
_cell_length_b 7.6642
_cell_length_c 7.6642
_cell_angle_alpha 90.00
_cell_angle_beta 90.00
_cell_angle_gamma 90.00
_space_group_name_H-M_alt 'F -4 3 m'
_space_group_IT_number 216
_space_group_name_Hall 'F -4 2 3'
loop_
_atom_site_label
_atom_site_type_symbol
_atom_site_fract_x
_atom_site_fract_y
_atom_site_fract_z
Ba1 Ba 0.0000 0.0000 0.0000
Li1 Li 0.2500 0.2500 0.7500
Os1 Os 0.1241 0.1241 0.3759
```

The 10 most intense peaks (2θ from 10° to 90°), in order of rising 2θ:
d_spacing	intensity	hkl
4.425	65	1 1 1
2.311	100	3 1 1
2.212	74	2 2 2
1.916	24	4 0 0
1.758	17	3 3 1
1.475	33	5 1 1
1.355	32	4 4 0
1.295	12	5 3 1
1.169	12	5 3 3
1.155	29	6 2 2

Simulated powder diffractogram of BaLiP2 for copper Kα, from a structure optimized by DFT (GGA-PBE).
Kinematic intensities with the Lorentz-polarization factor, no thermal factor.

Crystal structure
```
data_BaLiP2
_chemical_formula_sum 'Ba4 Li4 P8'
_cell_length_a 7.8069
_cell_length_b 4.3007
_cell_length_c 10.8932
_cell_angle_alpha 90.00
_cell_angle_beta 90.00
_cell_angle_gamma 90.00
_space_group_name_H-M_alt 'P n m a'
_space_group_IT_number 62
loop_
_space_group_symop_operation_xyz
'x,y,z'
'-x,-y,-z'
'-x+1/2,-y,z+1/2'
'x+1/2,y,-z+1/2'
'x+1/2,-y+1/2,-z+1/2'
'-x+1/2,y+1/2,z+1/2'
'-x,y+1/2,-z'
'x,-y+1/2,z'
loop_
_atom_site_label
_atom_site_type_symbol
_atom_site_fract_x
_atom_site_fract_y
_atom_site_fract_z
Ba1 Ba 0.1214 0.2500 0.1296
Li1 Li 0.0147 0.2500 0.6142
P1 P 0.2043 0.2500 0.8342
P2 P 0.2056 0.2500 0.4149
```

The 10 most intense peaks (2θ from 10° to 90°), in order of rising 2θ:
d_spacing	intensity	hkl
6.346	81	1 0 1
4.000	54	0 1 1
3.675	53	2 0 1
3.098	63	1 1 2
2.890	100	2 1 0
2.774	40	0 1 3
2.723	44	0 0 4
2.614	53	1 1 3
2.348	37	3 0 2
1.982	53	2 1 4

Simulated powder diffractogram of Ba3Li2P3 for copper Kα, from a structure optimized by DFT (GGA-PBE).
Kinematic intensities with the Lorentz-polarization factor, no thermal factor.

Crystal structure
```
data_Ba3Li2P3
_chemical_formula_sum 'Ba12 Li8 P12'
_cell_length_a 4.5660
_cell_length_b 11.7717
_cell_length_c 15.9074
_cell_angle_alpha 90.00
_cell_angle_beta 90.00
_cell_angle_gamma 90.00
_space_group_name_H-M_alt 'C m c m'
_space_group_IT_number 63
_space_group_name_Hall '-C 2c 2'
loop_
_atom_site_label
_atom_site_type_symbol
_atom_site_fract_x
_atom_site_fract_y
_atom_site_fract_z
Ba1 Ba 0.0000 0.0560 0.2500
Ba2 Ba 0.0000 0.3549 0.1020
Li1 Li 0.0000 0.3588 0.6122
P1 P 0.0000 0.0688 0.0496
P2 P 0.0000 0.2384 0.7500
```

The 10 most intense peaks (2θ from 10° to 90°), in order of rising 2θ:
d_spacing	intensity	hkl
4.112	58	1 1 1
3.940	98	0 2 3
3.753	37	1 1 2
3.320	67	1 1 3
2.976	70	1 3 0
2.925	62	1 3 1
2.906	100	1 1 4
2.651	36	0 0 6
2.283	38	2 0 0
1.947	43	1 5 3

Simulated powder diffractogram of BaLi2P2 for copper Kα, from a structure optimized by DFT (GGA-PBE).
Kinematic intensities with the Lorentz-polarization factor, no thermal factor.

Crystal structure
```
data_BaLi2P2
_chemical_formula_sum 'Ba2 Li4 P4'
_cell_length_a 4.5520
_cell_length_b 4.3012
_cell_length_c 10.8274
_cell_angle_alpha 90.00
_cell_angle_beta 95.61
_cell_angle_gamma 90.00
_space_group_name_H-M_alt 'P 1 21/m 1'
_space_group_IT_number 11
loop_
_space_group_symop_operation_xyz
'x,y,z'
'-x,-y,-z'
'-x,y+1/2,-z'
'x,-y+1/2,z'
loop_
_atom_site_label
_atom_site_type_symbol
_atom_site_fract_x
_atom_site_fract_y
_atom_site_fract_z
Ba1 Ba 0.1957 0.2500 0.2701
Li1 Li 0.2518 0.7500 0.5023
Li2 Li 0.3526 0.2500 0.8827
P1 P 0.1132 0.7500 0.0133
P2 P 0.2799 0.2500 0.6348
```

The 10 most intense peaks (2θ from 10° to 90°), in order of rising 2θ:
d_spacing	intensity	hkl
5.388	86	0 0 2
4.330	86	1 0 -1
3.995	100	0 1 1
3.119	96	1 1 0
3.052	47	1 1 -1
2.782	68	1 1 -2
2.757	89	0 1 3
2.691	74	1 0 3
2.624	93	1 1 2
1.680	45	1 2 3

Simulated powder diffractogram of BaLiP for copper Kα, from a structure optimized by DFT (GGA-PBE).
Kinematic intensities with the Lorentz-polarization factor, no thermal factor.

Crystal structure
```
data_BaLiP
_chemical_formula_sum 'Ba2 Li2 P2'
_cell_length_a 4.5605
_cell_length_b 4.5605
_cell_length_c 7.1999
_cell_angle_alpha 90.00
_cell_angle_beta 90.00
_cell_angle_gamma 90.00
_space_group_name_H-M_alt 'P 4/n m m'
_space_group_IT_number 129
loop_
_space_group_symop_operation_xyz
'x,y,z'
'-x,-y,-z'
'-y+1/2,x,z'
'y+1/2,-x,-z'
'-x+1/2,-y+1/2,z'
'x+1/2,y+1/2,-z'
'y,-x+1/2,z'
'-y,x+1/2,-z'
'x+1/2,-y,-z'
'-x+1/2,y,z'
'-y,-x,-z'
'y,x,z'
'-x,y+1/2,-z'
'x,-y+1/2,z'
'y+1/2,x+1/2,-z'
'-y+1/2,-x+1/2,z'
loop_
_atom_site_label
_atom_site_type_symbol
_atom_site_fract_x
_atom_site_fract_y
_atom_site_fract_z
Ba1 Ba 0.2500 0.2500 0.1825
Li1 Li 0.2500 0.7500 0.5000
P1 P 0.2500 0.2500 0.7019
```

The 10 most intense peaks (2θ from 10° to 90°), in order of rising 2θ:
d_spacing	intensity	hkl
3.853	99	1 0 1
3.600	31	0 0 2
3.225	100	1 1 0
2.826	76	1 0 2
2.402	59	1 1 2
2.280	42	2 0 0
1.962	32	2 1 1
1.926	38	2 0 2
1.775	37	2 1 2
1.674	29	1 0 4

Simulated powder diffractogram of Ba3Li7P4 for copper Kα, from a structure optimized by DFT (GGA-PBE).
Kinematic intensities with the Lorentz-polarization factor, no thermal factor.

Crystal structure
```
data_Ba3Li7P4
_chemical_formula_sum 'Ba6 Li14 P8'
_cell_length_a 16.8787
_cell_length_b 4.5366
_cell_length_c 9.6131
_cell_angle_alpha 90.00
_cell_angle_beta 123.13
_cell_angle_gamma 90.00
_space_group_name_H-M_alt 'C 1 2/m 1'
_space_group_IT_number 12
loop_
_space_group_symop_operation_xyz
'x,y,z'
'-x,-y,-z'
'-x,y,-z'
'x,-y,z'
'x+1/2,y+1/2,z'
'-x+1/2,-y+1/2,-z'
'-x+1/2,y+1/2,-z'
'x+1/2,-y+1/2,z'
loop_
_atom_site_label
_atom_site_type_symbol
_atom_site_fract_x
_atom_site_fract_y
_atom_site_fract_z
Ba1 Ba 0.0000 0.0000 0.0000
Ba2 Ba 0.2010 0.5000 0.6913
Li1 Li 0.0000 0.0000 0.5000
Li2 Li 0.0024 0.5000 0.2819
Li3 Li 0.1742 0.5000 0.3292
Li4 Li 0.1806 0.0000 0.9304
P1 P 0.1201 0.0000 0.4087
P2 P 0.1502 0.5000 0.0153
```

The 10 most intense peaks (2θ from 10° to 90°), in order of rising 2θ:
d_spacing	intensity	hkl
4.805	64	2 0 -2
4.277	38	2 0 1
4.185	52	4 0 -1
4.102	100	1 1 -1
3.268	68	3 1 0
2.727	58	1 1 2
2.681	74	0 0 3
2.617	81	3 1 -3
2.268	30	0 2 0
2.052	25	2 2 -2

Simulated powder diffractogram of Ba2LiPPd6 for copper Kα, from a structure optimized by DFT (GGA-PBE).
Kinematic intensities with the Lorentz-polarization factor, no thermal factor.

Crystal structure
```
data_Ba2LiPPd6
_chemical_formula_sum 'Ba12 Li6 P6 Pd36'
_cell_length_a 6.3846
_cell_length_b 6.3846
_cell_length_c 36.5049
_cell_angle_alpha 90.00
_cell_angle_beta 90.00
_cell_angle_gamma 120.00
_space_group_name_H-M_alt 'R -3 m'
_space_group_IT_number 166
_space_group_name_Hall '-R 3 2"'
loop_
_atom_site_label
_atom_site_type_symbol
_atom_site_fract_x
_atom_site_fract_y
_atom_site_fract_z
Ba1 Ba 0.0000 0.0000 0.1094
Ba2 Ba 0.0000 0.0000 0.2817
Li1 Li 0.0000 0.0000 0.4251
P1 P 0.0000 0.0000 0.0000
P2 P 0.0000 0.0000 0.5000
Pd1 Pd 0.0446 0.5223 0.3040
Pd2 Pd 0.0497 0.5248 0.8605
```

The 10 most intense peaks (2θ from 10° to 90°), in order of rising 2θ:
d_spacing	intensity	hkl
6.084	36	0 0 6
3.044	44	0 0 12
2.845	48	0 1 11
2.733	38	2 0 2
2.585	100	2 0 5
2.504	34	1 0 13
2.443	91	0 2 7
1.712	29	1 1 18
1.677	25	3 0 9
1.596	36	2 2 0

Simulated powder diffractogram of Ba2LiSn2P4 for copper Kα, from a structure optimized by DFT (GGA-PBE).
Kinematic intensities with the Lorentz-polarization factor, no thermal factor.

Crystal structure
```
data_Ba2LiSn2P4
_chemical_formula_sum 'Ba4 Li2 Sn4 P8'
_cell_length_a 4.8886
_cell_length_b 6.3775
_cell_length_c 15.0613
_cell_angle_alpha 90.00
_cell_angle_beta 90.00
_cell_angle_gamma 90.00
_space_group_name_H-M_alt 'I m m m'
_space_group_IT_number 71
_space_group_name_Hall '-I 2 2'
loop_
_atom_site_label
_atom_site_type_symbol
_atom_site_fract_x
_atom_site_fract_y
_atom_site_fract_z
Ba1 Ba 0.0000 0.0000 0.1380
Li1 Li 0.0000 0.5000 0.0000
Sn1 Sn 0.0000 0.0000 0.3709
P1 P 0.0000 0.2904 0.5000
P2 P 0.0000 0.5000 0.1913
```

The 10 most intense peaks (2θ from 10° to 90°), in order of rising 2θ:
d_spacing	intensity	hkl
3.880	83	1 1 0
3.765	38	0 0 4
3.189	39	0 2 0
2.702	100	1 1 4
2.444	28	2 0 0
2.433	40	0 2 4
1.940	19	2 2 0
1.731	21	1 3 4
1.725	28	2 2 4
1.694	22	1 1 8

Simulated powder diffractogram of Ba2Li9Pb6 for copper Kα, from a structure optimized by DFT (GGA-PBE).
Kinematic intensities with the Lorentz-polarization factor, no thermal factor.

Crystal structure
```
data_Ba2Li9Pb6
_chemical_formula_sum 'Ba2 Li9 Pb6'
_cell_length_a 6.2851
_cell_length_b 6.2851
_cell_length_c 14.2264
_cell_angle_alpha 90.00
_cell_angle_beta 90.00
_cell_angle_gamma 120.00
_space_group_name_H-M_alt 'P 6/m m m'
_space_group_IT_number 191
_space_group_name_Hall '-P 6 2'
loop_
_atom_site_label
_atom_site_type_symbol
_atom_site_fract_x
_atom_site_fract_y
_atom_site_fract_z
Ba1 Ba 0.0000 0.0000 0.1750
Li1 Li 0.0000 0.5000 0.0000
Li2 Li 0.0000 0.5000 0.3386
Pb1 Pb 0.3333 0.6667 0.1678
Pb2 Pb 0.3333 0.6667 0.5000
```

The 10 most intense peaks (2θ from 10° to 90°), in order of rising 2θ:
d_spacing	intensity	hkl
5.443	17	1 0 0
4.742	66	0 0 3
3.143	78	1 1 0
2.620	100	1 1 3
1.893	37	1 1 6
1.814	17	3 0 0
1.695	28	3 0 3
1.492	17	2 2 3
1.441	15	3 0 6
1.152	17	4 1 3

Simulated powder diffractogram of Ba3Li2Pb9 for copper Kα, from a structure optimized by DFT (GGA-PBE).
Kinematic intensities with the Lorentz-polarization factor, no thermal factor.

Crystal structure
```
data_Ba3Li2Pb9
_chemical_formula_sum 'Ba6 Li4 Pb18'
_cell_length_a 5.1373
_cell_length_b 12.1197
_cell_length_c 14.9099
_cell_angle_alpha 90.00
_cell_angle_beta 90.00
_cell_angle_gamma 90.00
_space_group_name_H-M_alt 'I m m m'
_space_group_IT_number 71
_space_group_name_Hall '-I 2 2'
loop_
_atom_site_label
_atom_site_type_symbol
_atom_site_fract_x
_atom_site_fract_y
_atom_site_fract_z
Ba1 Ba 0.0000 0.0000 0.0000
Ba2 Ba 0.0000 0.0000 0.2958
Li1 Li 0.0000 0.1724 0.5000
Pb1 Pb 0.0000 0.2934 0.1454
Pb2 Pb 0.0000 0.3600 0.3619
Pb3 Pb 0.0000 0.5000 0.0000
```

The 10 most intense peaks (2θ from 10° to 90°), in order of rising 2θ:
d_spacing	intensity	hkl
4.730	20	1 1 0
3.727	21	0 0 4
3.175	100	1 3 0
3.077	56	1 2 3
2.925	38	1 1 4
2.570	70	2 0 0
2.417	37	1 3 4
1.997	22	2 2 4
1.650	24	1 4 7
1.191	13	2 7 7

Simulated powder diffractogram of Ba3LiPb4 for copper Kα, from a structure optimized by DFT (GGA-PBE).
Kinematic intensities with the Lorentz-polarization factor, no thermal factor.

Crystal structure
```
data_Ba3LiPb4
_chemical_formula_sum 'Ba6 Li2 Pb8'
_cell_length_a 6.7299
_cell_length_b 12.8455
_cell_length_c 6.7043
_cell_angle_alpha 90.00
_cell_angle_beta 90.00
_cell_angle_gamma 90.00
_space_group_name_H-M_alt 'P m m n'
_space_group_IT_number 59
loop_
_space_group_symop_operation_xyz
'x,y,z'
'-x,-y,-z'
'-x+1/2,-y+1/2,z'
'x+1/2,y+1/2,-z'
'x+1/2,-y,-z'
'-x+1/2,y,z'
'-x,y+1/2,-z'
'x,-y+1/2,z'
loop_
_atom_site_label
_atom_site_type_symbol
_atom_site_fract_x
_atom_site_fract_y
_atom_site_fract_z
Ba1 Ba 0.2500 0.0015 0.1671
Ba2 Ba 0.2500 0.7500 0.5594
Li1 Li 0.2500 0.2500 0.3336
Pb1 Pb 0.0042 0.2500 0.9543
Pb2 Pb 0.2500 0.0962 0.6531
```

The 10 most intense peaks (2θ from 10° to 90°), in order of rising 2θ:
d_spacing	intensity	hkl
5.947	44	0 1 1
3.612	62	1 3 0
3.180	34	1 3 1
3.004	100	1 0 2
2.977	96	2 2 0
2.896	35	0 4 1
2.723	72	2 2 1
2.639	40	0 3 2
2.461	33	2 3 1
1.744	39	2 6 1